Structure and calculated PXRD pattern of RbHgSO4 (the PBE geometry in Alexandria; a wavelength of 1.5418 Å).
Neutral-atom scattering factors, no anomalous dispersion.

Structure:
abc: 6.398 6.398 8.171
angles: 90.00 90.00 126.65
Fractional positions:
Rb (0.198, 0.802, 0.750)
Rb (0.802, 0.198, 0.250)
Hg (0.500, 0.500, 0.000)
Hg (0.500, 0.500, 0.500)
S (0.124, 0.876, 0.250)
S (0.876, 0.124, 0.750)
O (0.170, 0.261, 0.750)
O (0.197, 0.803, 0.101)
O (0.197, 0.803, 0.399)
O (0.261, 0.170, 0.250)
O (0.739, 0.830, 0.750)
O (0.803, 0.197, 0.601)
O (0.803, 0.197, 0.899)
O (0.830, 0.739, 0.250)

Principal peaks in the range 2θ = 15–90°, most intense first:
two_theta  I/Imax
27.91  1000
28.09  775
26.82  448
41.55  433
17.27  362
31.13  303

---

Structure and calculated PXRD pattern of Pr7Sm4Y (the PBE geometry in Alexandria; a wavelength of 1.5418 Å).
Neutral-atom scattering factors, no anomalous dispersion.

Structure:
abc: 8.771 8.771 9.506
angles: 114.18 114.18 40.85
Fractional positions:
Pr (0.000, 0.000, 0.000)
Pr (0.290, 0.290, 0.771)
Pr (0.291, 0.291, 0.121)
Pr (0.417, 0.417, 0.559)
Pr (0.583, 0.583, 0.441)
Pr (0.709, 0.709, 0.879)
Pr (0.710, 0.710, 0.229)
Sm (0.072, 0.072, 0.698)
Sm (0.172, 0.172, 0.387)
Sm (0.828, 0.828, 0.613)
Sm (0.928, 0.928, 0.302)
Y (0.500, 0.500, 0.000)

Principal peaks in the range 2θ = 15–90°, most intense first:
two_theta  I/Imax
29.18  1000
31.84  790
32.74  709
31.00  540
28.55  434
28.21  369

---

Structure and calculated PXRD pattern of Ba4LiTa3O12 (the PBE geometry in Alexandria; a wavelength of 1.5418 Å).
Neutral-atom scattering factors, no anomalous dispersion.

Structure:
abc: 5.863 5.863 19.356
angles: 90.00 90.00 120.00
Fractional positions:
Ba (0.000, 0.000, 0.000)
Ba (0.000, 0.000, 0.500)
Ba (0.333, 0.667, 0.142)
Ba (0.333, 0.667, 0.367)
Ba (0.333, 0.667, 0.745)
Ba (0.667, 0.333, 0.245)
Ba (0.667, 0.333, 0.642)
Ba (0.667, 0.333, 0.867)
Li (0.000, 0.000, 0.163)
Li (0.000, 0.000, 0.663)
Ta (0.000, 0.000, 0.307)
Ta (0.000, 0.000, 0.807)
Ta (0.333, 0.667, 0.563)
Ta (0.333, 0.667, 0.936)
Ta (0.667, 0.333, 0.063)
Ta (0.667, 0.333, 0.436)
O (0.003, 0.501, 0.994)
O (0.159, 0.317, 0.255)
O (0.159, 0.841, 0.255)
O (0.169, 0.339, 0.876)
O (0.169, 0.831, 0.876)
O (0.174, 0.348, 0.615)
O (0.174, 0.826, 0.615)
O (0.317, 0.159, 0.755)
O (0.339, 0.169, 0.376)
O (0.348, 0.174, 0.115)
O (0.499, 0.501, 0.994)
O (0.499, 0.997, 0.994)
O (0.501, 0.003, 0.494)
O (0.501, 0.499, 0.494)
O (0.652, 0.826, 0.615)
O (0.661, 0.831, 0.876)
O (0.683, 0.841, 0.255)
O (0.826, 0.174, 0.115)
O (0.826, 0.652, 0.115)
O (0.831, 0.169, 0.376)
O (0.831, 0.661, 0.376)
O (0.841, 0.159, 0.755)
O (0.841, 0.683, 0.755)
O (0.997, 0.499, 0.494)

Principal peaks in the range 2θ = 15–90°, most intense first:
two_theta  I/Imax
30.50  1000
29.01  751
42.59  384
53.28  280
25.43  249
32.89  234

---

Structure and calculated PXRD pattern of Sc5Al3 (the PBE geometry in Alexandria; a wavelength of 1.5418 Å).
Neutral-atom scattering factors, no anomalous dispersion.

Structure:
abc: 4.383 4.383 17.143
angles: 90.00 90.00 90.00
Fractional positions:
Sc (0.000, 0.000, 0.000)
Sc (0.000, 0.500, 0.133)
Sc (0.000, 0.500, 0.367)
Sc (0.000, 0.500, 0.633)
Sc (0.000, 0.500, 0.867)
Sc (0.500, 0.000, 0.133)
Sc (0.500, 0.000, 0.367)
Sc (0.500, 0.000, 0.633)
Sc (0.500, 0.000, 0.867)
Sc (0.500, 0.500, 0.500)
Al (0.000, 0.000, 0.251)
Al (0.000, 0.000, 0.500)
Al (0.000, 0.000, 0.749)
Al (0.500, 0.500, 0.000)
Al (0.500, 0.500, 0.249)
Al (0.500, 0.500, 0.751)

Principal peaks in the range 2θ = 15–90°, most intense first:
two_theta  I/Imax
35.75  1000
41.19  335
71.55  225
60.42  181
42.17  142
59.67  103

---

Structure and calculated PXRD pattern of Tb5Er2Tm12 (the PBE geometry in Alexandria; a wavelength of 1.5418 Å).
Neutral-atom scattering factors, no anomalous dispersion.

Structure:
abc: 5.933 9.570 11.115
angles: 70.10 82.29 88.55
Fractional positions:
Tb (0.000, 0.000, 0.000)
Tb (0.101, 0.962, 0.344)
Tb (0.495, 0.547, 0.830)
Tb (0.505, 0.453, 0.170)
Tb (0.899, 0.038, 0.656)
Er (0.283, 0.567, 0.420)
Er (0.717, 0.433, 0.580)
Tm (0.037, 0.686, 0.656)
Tm (0.077, 0.314, 0.044)
Tm (0.163, 0.317, 0.728)
Tm (0.385, 0.905, 0.788)
Tm (0.426, 0.820, 0.105)
Tm (0.430, 0.182, 0.487)
Tm (0.570, 0.818, 0.513)
Tm (0.574, 0.180, 0.895)
Tm (0.615, 0.095, 0.212)
Tm (0.837, 0.683, 0.272)
Tm (0.923, 0.686, 0.956)
Tm (0.963, 0.314, 0.344)

Principal peaks in the range 2θ = 15–90°, most intense first:
two_theta  I/Imax
31.76  1000
32.20  726
32.86  724
33.85  682
31.38  501
34.08  434

---

Structure and calculated PXRD pattern of GaAgF4 (the PBE geometry in Alexandria; a wavelength of 1.5418 Å).
Neutral-atom scattering factors, no anomalous dispersion.

Structure:
abc: 7.571 7.571 6.882
angles: 99.69 99.69 29.79
Fractional positions:
Ga (0.085, 0.085, 0.171)
Ga (0.915, 0.915, 0.829)
Ag (0.200, 0.200, 0.741)
Ag (0.800, 0.800, 0.259)
F (0.050, 0.050, 0.875)
F (0.105, 0.105, 0.441)
F (0.211, 0.211, 0.137)
F (0.413, 0.413, 0.842)
F (0.587, 0.587, 0.158)
F (0.789, 0.789, 0.863)
F (0.895, 0.895, 0.559)
F (0.950, 0.950, 0.125)

Principal peaks in the range 2θ = 15–90°, most intense first:
two_theta  I/Imax
23.68  1000
25.91  641
26.30  571
27.06  447
30.05  423
31.04  407